Diffraction record for KLiAs. The powder XRD pattern is theoretical, not measured: it uses the PBE geometry in the Materials Project and Cu Kα X-rays.
Kinematic intensities with the Lorentz-polarization factor, no thermal factor.

```
data_KLiAs
_symmetry_space_group_name_H-M 'P 1'
_symmetry_Int_Tables_number 1
_cell_length_a 14.5944
_cell_length_b 4.3116
_cell_length_c 12.8680
_cell_angle_alpha 90.00
_cell_angle_beta 90.00
_cell_angle_gamma 90.00
loop_
_symmetry_equiv_pos_as_xyz
'x,y,z'
loop_
_atom_site_label
_atom_site_fract_x
_atom_site_fract_y
_atom_site_fract_z
K1 0.0216 0.0000 0.1817
K2 0.4784 0.0000 0.1817
K3 0.5216 0.0000 0.8183
K4 0.9784 0.0000 0.8183
Li1 0.1356 0.0000 0.4320
Li2 0.3644 0.0000 0.4320
Li3 0.6356 0.0000 0.5680
Li4 0.8644 0.0000 0.5680
As1 0.0348 0.0000 0.5826
As2 0.4652 0.0000 0.5826
As3 0.5348 0.0000 0.4174
As4 0.9652 0.0000 0.4174
```

Largest 6 diffraction maxima, in order of rising 2θ, 15° ≤ 2θ ≤ 90°:
2θ 20.6, I 83.3; 2θ 24.0, I 100.0; 2θ 34.8, I 33.2; 2θ 37.0, I 29.8; 2θ 42.7, I 30.6; 2θ 43.0, I 29.0

***

Diffraction record for KMgAs. The powder XRD pattern is theoretical, not measured: it uses the PBE geometry in the Materials Project and Cu Kα X-rays.
Kinematic intensities with the Lorentz-polarization factor, no thermal factor.

```
data_KMgAs
_symmetry_space_group_name_H-M 'P 1'
_symmetry_Int_Tables_number 1
_cell_length_a 4.5861
_cell_length_b 4.5861
_cell_length_c 7.8288
_cell_angle_alpha 90.00
_cell_angle_beta 90.00
_cell_angle_gamma 90.00
loop_
_symmetry_equiv_pos_as_xyz
'x,y,z'
loop_
_atom_site_label
_atom_site_fract_x
_atom_site_fract_y
_atom_site_fract_z
K1 0.2500 0.2500 0.1449
K2 0.7500 0.7500 0.8551
Mg1 0.2500 0.7500 0.5000
Mg2 0.7500 0.2500 0.5000
As1 0.2500 0.2500 0.6926
As2 0.7500 0.7500 0.3074
```

Largest 6 diffraction maxima, in order of rising 2θ, 15° ≤ 2θ ≤ 90°:
2θ 22.5, I 38.5; 2θ 27.5, I 65.4; 2θ 30.0, I 100.0; 2θ 36.0, I 65.0; 2θ 39.3, I 58.8; 2θ 50.2, I 43.6

***

Diffraction record for KMg2As2O12. The powder XRD pattern is theoretical, not measured: it uses the PBE geometry in the Materials Project and Cu Kα X-rays.
Kinematic intensities with the Lorentz-polarization factor, no thermal factor.

```
data_KMg2As2O12
_symmetry_space_group_name_H-M 'P 1'
_symmetry_Int_Tables_number 1
_cell_length_a 9.5769
_cell_length_b 9.5769
_cell_length_c 6.5054
_cell_angle_alpha 107.91
_cell_angle_beta 107.91
_cell_angle_gamma 81.95
loop_
_symmetry_equiv_pos_as_xyz
'x,y,z'
loop_
_atom_site_label
_atom_site_fract_x
_atom_site_fract_y
_atom_site_fract_z
K1 0.0642 0.9358 0.7500
K2 0.9358 0.0642 0.2500
Mg1 0.0546 0.3741 0.1212
Mg2 0.3741 0.0546 0.6212
Mg3 0.6259 0.9454 0.3788
Mg4 0.9454 0.6259 0.8788
As1 0.1278 0.3500 0.6131
As2 0.3500 0.1278 0.1131
As3 0.6500 0.8722 0.8869
As4 0.8722 0.6500 0.3869
O1 0.0121 0.6555 0.6318
O2 0.0498 0.4211 0.8371
O3 0.1607 0.7971 0.1450
O4 0.1694 0.1831 0.1060
O5 0.1831 0.1694 0.6060
O6 0.2029 0.8393 0.3550
O7 0.2660 0.4523 0.6294
O8 0.3445 0.9879 0.8682
O9 0.3904 0.5274 0.2542
O10 0.4211 0.0498 0.3371
O11 0.4523 0.2660 0.1294
O12 0.4726 0.6096 0.2458
O13 0.5274 0.3903 0.7542
O14 0.5477 0.7340 0.8706
O15 0.5789 0.9502 0.6629
O16 0.6096 0.4726 0.7458
O17 0.6555 0.0121 0.1318
O18 0.7340 0.5477 0.3706
O19 0.7971 0.1607 0.6450
O20 0.8169 0.8306 0.3940
O21 0.8306 0.8169 0.8940
O22 0.8393 0.2029 0.8550
O23 0.9502 0.5789 0.1629
O24 0.9879 0.3445 0.3682
```

Largest 6 diffraction maxima, in order of rising 2θ, 15° ≤ 2θ ≤ 90°:
2θ 21.0, I 67.6; 2θ 25.3, I 76.9; 2θ 27.0, I 100.0; 2θ 28.4, I 77.3; 2θ 28.9, I 75.3; 2θ 29.5, I 65.4

***

Diffraction record for KNaAs6Pb8O24. The powder XRD pattern is theoretical, not measured: it uses the PBE geometry in the Materials Project and Cu Kα X-rays.
Kinematic intensities with the Lorentz-polarization factor, no thermal factor.

```
data_KNaAs6Pb8O24
_symmetry_space_group_name_H-M 'P 1'
_symmetry_Int_Tables_number 1
_cell_length_a 10.2962
_cell_length_b 10.2962
_cell_length_c 7.5043
_cell_angle_alpha 90.00
_cell_angle_beta 90.00
_cell_angle_gamma 120.00
loop_
_symmetry_equiv_pos_as_xyz
'x,y,z'
loop_
_atom_site_label
_atom_site_fract_x
_atom_site_fract_y
_atom_site_fract_z
K1 0.0000 0.0000 0.0000
Na1 0.6667 0.3333 0.4782
As1 0.3189 0.2753 0.2359
As2 0.3527 0.0602 0.7304
As3 0.7074 0.6473 0.7304
As4 0.7247 0.0435 0.2359
As5 0.9398 0.2926 0.7304
As6 0.9565 0.6811 0.2359
Pb1 0.0000 0.0000 0.5031
Pb2 0.0723 0.6646 0.7350
Pb3 0.0745 0.4075 0.2374
Pb4 0.3330 0.9255 0.2374
Pb5 0.3354 0.4078 0.7350
Pb6 0.5922 0.9277 0.7350
Pb7 0.5925 0.6670 0.2374
Pb8 0.6667 0.3333 0.0018
O1 0.0267 0.1869 0.7255
O2 0.0744 0.7525 0.4176
O3 0.0760 0.7490 0.0564
O4 0.1602 0.9733 0.7255
O5 0.2363 0.0809 0.2402
O6 0.2475 0.3219 0.4176
O7 0.2510 0.3271 0.0564
O8 0.4198 0.0133 0.9162
O9 0.4229 0.0075 0.5537
O10 0.4367 0.2548 0.7319
O11 0.5118 0.3602 0.2368
O12 0.5847 0.5771 0.5537
O13 0.5936 0.5802 0.9162
O14 0.6398 0.1516 0.2368
O15 0.6729 0.9240 0.0564
O16 0.6781 0.9256 0.4176
O17 0.7452 0.1818 0.7319
O18 0.8131 0.8398 0.7255
O19 0.8182 0.5633 0.7319
O20 0.8446 0.7637 0.2402
O21 0.8484 0.4882 0.2368
O22 0.9191 0.1554 0.2402
O23 0.9867 0.4064 0.9162
O24 0.9925 0.4153 0.5537
```

Largest 6 diffraction maxima, in order of rising 2θ, 15° ≤ 2θ ≤ 90°:
2θ 23.7, I 24.8; 2θ 29.0, I 100.0; 2θ 29.5, I 58.6; 2θ 30.1, I 43.9; 2θ 45.1, I 32.9; 2θ 46.0, I 29.3